Record 1
This entry pairs a crystal structure of Li2CoCuO4 with its theoretical PXRD pattern. Radiation: Cu Kα, 1.54184 Å. Structure: DFT lattice parameters and positions (PBE+U).
Neutral-atom scattering factors, no anomalous dispersion.

Cell and atoms:
abc: 5.117 5.117 8.174
angles: 113.52 113.52 47.82
Fractional coordinates of all 16 atoms:
1 Li 0.000 0.000 0.000
2 Li 0.001 0.001 0.499
3 Li 0.245 0.245 0.371
4 Li 0.252 0.252 0.876
5 Co 0.747 0.747 0.623
6 Co 0.751 0.751 0.124
7 Cu 0.495 0.495 0.750
8 Cu 0.499 0.499 0.245
9 O 0.268 0.268 0.632
10 O 0.273 0.273 0.137
11 O 0.506 0.506 0.002
12 O 0.523 0.523 0.511
13 O 0.723 0.723 0.872
14 O 0.728 0.728 0.353
15 O 0.974 0.974 0.736
16 O 0.985 0.985 0.241

Main lines, in order of rising 2θ (5 to 70 degrees two-theta):
two_theta  d_spacing  intensity
23.92  3.721  100
24.21  3.677  100
37.57  2.394  44
42.98  2.104  47
43.64  2.074  48
44.33  2.044  46

Record 2
This entry pairs a crystal structure of FeNi3Sn2P6O24 with its theoretical PXRD pattern. Radiation: Cu Kα, 1.54184 Å. Structure: DFT lattice parameters and positions (PBE+U).
Neutral-atom scattering factors, no anomalous dispersion.

Cell and atoms:
abc: 8.502 8.502 8.502
angles: 61.55 61.55 61.55
Fractional coordinates of all 36 atoms:
1 Fe 0.000 0.000 0.000
2 Ni 0.297 0.297 0.297
3 Ni 0.503 0.503 0.503
4 Ni 0.796 0.796 0.796
5 Sn 0.151 0.151 0.151
6 Sn 0.650 0.650 0.650
7 P 0.103 0.696 0.400
8 P 0.195 0.602 0.899
9 P 0.400 0.103 0.696
10 P 0.602 0.899 0.195
11 P 0.696 0.400 0.103
12 P 0.899 0.195 0.602
13 O 0.047 0.639 0.826
14 O 0.054 0.216 0.399
15 O 0.083 0.902 0.242
16 O 0.139 0.547 0.328
17 O 0.153 0.754 0.974
18 O 0.216 0.399 0.054
19 O 0.242 0.083 0.902
20 O 0.252 0.662 0.471
21 O 0.328 0.139 0.547
22 O 0.399 0.054 0.216
23 O 0.399 0.588 0.746
24 O 0.471 0.252 0.662
25 O 0.547 0.328 0.139
26 O 0.553 0.898 0.718
27 O 0.588 0.746 0.399
28 O 0.639 0.826 0.047
29 O 0.662 0.471 0.252
30 O 0.718 0.553 0.898
31 O 0.746 0.399 0.588
32 O 0.754 0.974 0.153
33 O 0.826 0.047 0.639
34 O 0.898 0.718 0.553
35 O 0.902 0.242 0.083
36 O 0.974 0.153 0.754

Main lines, in order of rising 2θ (5 to 70 degrees two-theta):
two_theta  d_spacing  intensity
20.42  4.350  100
24.23  3.674  54
33.27  2.693  81
35.75  2.511  42
49.63  1.837  32
62.66  1.483  28

Record 3
This entry pairs a crystal structure of MgMn4H2O8 with its theoretical PXRD pattern. Radiation: Cu Kα, 1.54184 Å. Structure: DFT lattice parameters and positions (PBE+U).
Neutral-atom scattering factors, no anomalous dispersion.

Cell and atoms:
abc: 3.031 5.183 9.895
angles: 90.15 91.52 91.05
Fractional coordinates of all 15 atoms:
1 Mg 0.000 0.000 0.000
2 Mn 0.063 0.567 0.253
3 Mn 0.067 0.954 0.724
4 Mn 0.510 0.488 0.943
5 Mn 0.573 0.070 0.456
6 H 0.522 0.981 0.197
7 H 0.640 0.598 0.592
8 O 0.013 0.685 0.867
9 O 0.014 0.371 0.061
10 O 0.058 0.901 0.364
11 O 0.090 0.201 0.573
12 O 0.489 0.120 0.853
13 O 0.506 0.854 0.123
14 O 0.571 0.370 0.330
15 O 0.597 0.781 0.613

Main lines, in order of rising 2θ (5 to 70 degrees two-theta):
two_theta  d_spacing  intensity
19.34  4.589  100
24.92  3.573  26
32.17  2.782  65
34.30  2.614  22
34.61  2.591  24
35.43  2.534  19